Entry 1:
CdGa3: theoretical powder diffractogram (Cu Kα (λ = 1.5418 Å)), based on DFT lattice parameters and positions (GGA-PBE).
Peak positions follow from Bragg's law for the DFT cell and can differ from measured ones.

Crystal structure
```
data_CdGa3
_symmetry_space_group_name_H-M 'P -6 m 2'
_symmetry_Int_Tables_number 187
_symmetry_space_group_name_Hall 'P -6 2'
_cell_length_a 2.9990
_cell_length_b 2.9990
_cell_length_c 10.1865
_cell_angle_alpha 90.00
_cell_angle_beta 90.00
_cell_angle_gamma 120.00
loop_
_atom_site_label
_atom_site_fract_x
_atom_site_fract_y
_atom_site_fract_z
Cd1 0.0000 0.0000 0.0000
Ga1 0.3333 0.6667 0.2608
Ga2 0.6667 0.3333 0.5000
```

Main lines, low angle first (15° ≤ 2θ ≤ 90°):
2θ/deg, intensity, hkl
35.24, 41, 0 0 4
35.68, 60, 1 0 1
38.93, 100, 1 0 2
43.89, 32, 1 0 3
57.49, 16, 1 0 5
61.88, 23, 1 1 0
65.71, 19, 1 0 6
73.26, 27, 1 1 4

=====

Entry 2:
Nd8Zn2Tc: theoretical powder diffractogram (Cu Kα (λ = 1.5418 Å)), based on DFT lattice parameters and positions (GGA-PBE).
Peak positions follow from Bragg's law for the DFT cell and can differ from measured ones.

Crystal structure
```
data_Nd8Zn2Tc
_symmetry_space_group_name_H-M 'C 1 2/m 1'
_symmetry_Int_Tables_number 12
_cell_length_a 17.9172
_cell_length_b 5.2396
_cell_length_c 7.0440
_cell_angle_alpha 90.00
_cell_angle_beta 103.91
_cell_angle_gamma 90.00
loop_
_symmetry_equiv_pos_as_xyz
'x,y,z'
'-x,-y,-z'
'-x,y,-z'
'x,-y,z'
'x+1/2,y+1/2,z'
'-x+1/2,-y+1/2,-z'
'-x+1/2,y+1/2,-z'
'x+1/2,-y+1/2,z'
loop_
_atom_site_label
_atom_site_fract_x
_atom_site_fract_y
_atom_site_fract_z
Nd1 0.0254 0.0000 0.2857
Nd2 0.0909 0.5000 0.9409
Nd3 0.1582 0.5000 0.4622
Nd4 0.1991 0.0000 0.8072
Zn1 0.1894 0.0000 0.2237
Tc1 0.0000 0.5000 0.5000
```

Main lines, low angle first (15° ≤ 2θ ≤ 90°):
2θ/deg, intensity, hkl
28.18, 65, 3 1 1
30.61, 75, 1 1 -2
30.85, 85, 5 1 0
31.01, 78, 5 1 -1
32.71, 84, 1 1 2
34.23, 100, 0 2 0
36.43, 59, 6 0 1
59.24, 37, 8 2 1

=====

> What is the formula in the second record?

Nd8Zn2Tc